[1]
This entry pairs a crystal structure of Ni2Ir3 with its calculated powder diffraction line list. Radiation: a wavelength of 1.5418 Å. Structure: a cell relaxed with GGA-PBE.

Most intense lines, 2θ from 10° to 90°, by angle:
2θ 16.84, rel. 33.6
2θ 30.41, rel. 36.8
2θ 33.55, rel. 38.9
2θ 36.50, rel. 59.8
2θ 38.98, rel. 100.0
2θ 41.40, rel. 62.2
2θ 42.37, rel. 60.8
2θ 45.54, rel. 81.2
2θ 46.22, rel. 91.2
2θ 49.29, rel. 53.3

Atomic structure:
Unit cell a=5.6626 b=5.6626 c=4.8103 alpha=104.99 beta=104.99 gamma=100.76
Element x y z (fractional)
Ni  0.0615  0.6246  0.0085
Ni  0.0909  0.0909  0.2806
Ni  0.3754  0.9385  0.9915
Ni  0.9091  0.9091  0.7194
Ir  0.0925  0.5481  0.4968
Ir  0.2850  0.3084  0.8539
Ir  0.4519  0.9075  0.5032
Ir  0.5662  0.4338  0.5000
Ir  0.6916  0.7150  0.1461
Ir  0.7449  0.2551  0.0000

[2]
This entry pairs a crystal structure of NiIr4 with its calculated powder diffraction line list. Radiation: a wavelength of 1.5418 Å. Structure: a cell relaxed with GGA-PBE.

Most intense lines, 2θ from 10° to 90°, by angle:
2θ 14.96, rel. 16.8
2θ 30.18, rel. 21.4
2θ 36.13, rel. 34.1
2θ 39.55, rel. 53.1
2θ 41.25, rel. 56.5
2θ 43.43, rel. 79.6
2θ 45.31, rel. 100.0
2θ 55.97, rel. 19.4
2θ 76.70, rel. 16.9
2θ 78.05, rel. 20.4

Atomic structure:
Unit cell a=11.8465 b=4.3775 c=2.7391 alpha=90.00 beta=90.10 gamma=90.00
Element x y z (fractional)
Ni  0.0000  0.0000  0.0000
Ni  0.5000  0.5000  0.0000
Ir  0.1129  0.5000  0.9986
Ir  0.1835  0.0000  0.4995
Ir  0.3165  0.5000  0.5005
Ir  0.3871  0.0000  0.0014
Ir  0.6129  0.0000  0.9986
Ir  0.6835  0.5000  0.4995
Ir  0.8165  0.0000  0.5005
Ir  0.8871  0.5000  0.0014

[3]
This entry pairs a crystal structure of NiIr4 with its calculated powder diffraction line list. Radiation: a wavelength of 1.5418 Å. Structure: a cell relaxed with GGA-PBE.

Most intense lines, 2θ from 10° to 90°, by angle:
2θ 20.81, rel. 5.5
2θ 27.65, rel. 6.2
2θ 29.59, rel. 3.1
2θ 40.94, rel. 100.0
2θ 47.64, rel. 48.4
2θ 60.36, rel. 1.6
2θ 68.65, rel. 1.2
2θ 69.66, rel. 31.4
2θ 84.09, rel. 38.2
2θ 88.77, rel. 11.5

Atomic structure:
Unit cell a=6.0374 b=6.0374 c=3.8172 alpha=90.00 beta=90.00 gamma=90.00
Element x y z (fractional)
Ni  0.0000  0.0000  0.0000
Ni  0.5000  0.5000  0.5000
Ir  0.1018  0.2988  0.5000
Ir  0.2012  0.6018  0.0000
Ir  0.2988  0.8982  0.5000
Ir  0.3982  0.2012  0.0000
Ir  0.6018  0.7988  0.0000
Ir  0.7012  0.1018  0.5000
Ir  0.7988  0.3982  0.0000
Ir  0.8982  0.7012  0.5000

[4]
This entry pairs a crystal structure of Ni5Ir4 with its calculated powder diffraction line list. Radiation: a wavelength of 1.5418 Å. Structure: a cell relaxed with GGA-PBE.

Most intense lines, 2θ from 10° to 90°, by angle:
2θ 22.59, rel. 12.4
2θ 26.79, rel. 17.7
2θ 36.08, rel. 8.3
2θ 42.33, rel. 100.0
2θ 49.10, rel. 32.4
2θ 49.65, rel. 15.7
2θ 71.98, rel. 10.2
2θ 72.41, rel. 20.0
2θ 87.21, rel. 25.0
2θ 88.04, rel. 12.5

Atomic structure:
Unit cell a=5.8612 b=5.8612 c=5.8612 alpha=95.63 beta=95.63 gamma=143.48
Element x y z (fractional)
Ni  0.0000  0.0000  0.0000
Ni  0.0000  0.3331  0.3331
Ni  0.0000  0.6669  0.6669
Ni  0.3331  0.0000  0.3331
Ni  0.6669  0.0000  0.6669
Ir  0.3341  0.3341  0.6682
Ir  0.3341  0.6659  0.0000
Ir  0.6659  0.3341  0.0000
Ir  0.6659  0.6659  0.3318

[5]
This entry pairs a crystal structure of NpNi4Ir2 with its calculated powder diffraction line list. Radiation: a wavelength of 1.5418 Å. Structure: a cell relaxed with GGA-PBE.

Most intense lines, 2θ from 10° to 90°, by angle:
2θ 24.86, rel. 100.0
2θ 33.05, rel. 53.4
2θ 35.44, rel. 14.3
2θ 39.67, rel. 68.2
2θ 49.24, rel. 30.0
2θ 50.99, rel. 25.7
2θ 54.24, rel. 43.0
2θ 57.53, rel. 18.0
2θ 77.65, rel. 24.7
2θ 88.36, rel. 14.0

Atomic structure:
Unit cell a=7.1641 b=7.1641 c=5.0847 alpha=90.00 beta=90.00 gamma=90.00
Element x y z (fractional)
Np  0.0000  0.0000  0.0000
Np  0.5000  0.5000  0.5000
Ni  0.0000  0.2172  0.5000
Ni  0.0000  0.7828  0.5000
Ni  0.2172  0.0000  0.5000
Ni  0.2828  0.5000  0.0000
Ni  0.5000  0.2828  0.0000
Ni  0.5000  0.7172  0.0000
Ni  0.7172  0.5000  0.0000
Ni  0.7828  0.0000  0.5000
Ir  0.0000  0.5000  0.2500
Ir  0.0000  0.5000  0.7500
Ir  0.5000  0.0000  0.2500
Ir  0.5000  0.0000  0.7500